# 1
Diffraction record for ThPtRh. The powder XRD pattern is calculated, not measured: it uses a DFT-relaxed cell (PBE, Alexandria) and CuKα.
Neutral-atom scattering factors, no anomalous dispersion.

Principal peaks in the range 2θ = 10–90°, sorted by position:
27.27°, d = 3.271 Å, intensity 28.4; 34.57°, d = 2.594 Å, intensity 100.0; 36.43°, d = 2.466 Å, intensity 42.0; 38.70°, d = 2.327 Å, intensity 88.5; 41.33°, d = 2.185 Å, intensity 37.9; 56.25°, d = 1.635 Å, intensity 24.6

a b c (Å): 5.307 5.307 5.734
angles (deg): 90.00 90.00 131.38
Fractional positions:
Th (0.181, 0.819, 0.750)
Th (0.819, 0.181, 0.250)
Pt (0.500, 0.500, 0.000)
Pt (0.500, 0.500, 0.500)
Rh (0.117, 0.883, 0.250)
Rh (0.883, 0.117, 0.750)

# 2
Diffraction record for Th4Pt7Rh6. The powder XRD pattern is calculated, not measured: it uses a DFT-relaxed cell (PBE, Alexandria) and CuKα.
Neutral-atom scattering factors, no anomalous dispersion.

Principal peaks in the range 2θ = 10–90°, sorted by position:
29.39°, d = 3.039 Å, intensity 14.6; 36.21°, d = 2.481 Å, intensity 100.0; 39.22°, d = 2.297 Å, intensity 22.0; 42.05°, d = 2.149 Å, intensity 65.9; 60.98°, d = 1.519 Å, intensity 40.2; 73.03°, d = 1.296 Å, intensity 32.5

a b c (Å): 7.443 7.443 7.443
angles (deg): 109.47 109.47 109.47
Fractional positions:
Th (0.000, 0.000, 0.500)
Th (0.000, 0.500, 0.000)
Th (0.500, 0.000, 0.000)
Th (0.500, 0.500, 0.500)
Pt (0.000, 0.000, 0.000)
Pt (0.250, 0.500, 0.750)
Pt (0.250, 0.750, 0.500)
Pt (0.500, 0.250, 0.750)
Pt (0.500, 0.750, 0.250)
Pt (0.750, 0.250, 0.500)
Pt (0.750, 0.500, 0.250)
Rh (0.000, 0.299, 0.299)
Rh (0.000, 0.701, 0.701)
Rh (0.299, 0.000, 0.299)
Rh (0.299, 0.299, 0.000)
Rh (0.701, 0.000, 0.701)
Rh (0.701, 0.701, 0.000)

# 3
Diffraction record for Th2Pt4Rh. The powder XRD pattern is calculated, not measured: it uses a DFT-relaxed cell (PBE, Alexandria) and CuKα.
Neutral-atom scattering factors, no anomalous dispersion.

Principal peaks in the range 2θ = 10–90°, sorted by position:
37.41°, d = 2.404 Å, intensity 100.0; 41.75°, d = 2.164 Å, intensity 18.5; 44.31°, d = 2.044 Å, intensity 31.3; 62.49°, d = 1.486 Å, intensity 17.2; 73.35°, d = 1.291 Å, intensity 14.4; 76.98°, d = 1.239 Å, intensity 25.3

a b c (Å): 5.782 5.782 5.948
angles (deg): 119.03 119.03 89.98
Fractional positions:
Th (0.000, 0.500, 0.000)
Th (0.500, 0.000, 0.000)
Pt (0.000, 0.000, 0.500)
Pt (0.000, 0.500, 0.500)
Pt (0.500, 0.000, 0.500)
Pt (0.500, 0.500, 0.500)
Rh (0.000, 0.000, 0.000)

# 4
Diffraction record for Ti3PtRh. The powder XRD pattern is calculated, not measured: it uses a DFT-relaxed cell (PBE, Alexandria) and CuKα.
Neutral-atom scattering factors, no anomalous dispersion.

Principal peaks in the range 2θ = 10–90°, sorted by position:
26.64°, d = 3.346 Å, intensity 82.3; 38.70°, d = 2.327 Å, intensity 100.0; 40.17°, d = 2.245 Å, intensity 84.7; 40.35°, d = 2.235 Å, intensity 85.8; 42.89°, d = 2.109 Å, intensity 69.2; 44.08°, d = 2.054 Å, intensity 52.3

a b c (Å): 7.392 7.392 6.474
angles (deg): 90.08 90.08 64.85
Fractional positions:
Ti (0.059, 0.232, 0.451)
Ti (0.180, 0.689, 0.908)
Ti (0.232, 0.059, 0.951)
Ti (0.301, 0.407, 0.553)
Ti (0.311, 0.820, 0.592)
Ti (0.407, 0.301, 0.053)
Ti (0.593, 0.699, 0.947)
Ti (0.689, 0.180, 0.408)
Ti (0.699, 0.593, 0.447)
Ti (0.768, 0.941, 0.049)
Ti (0.820, 0.311, 0.092)
Ti (0.941, 0.768, 0.549)
Pt (0.013, 0.544, 0.207)
Pt (0.456, 0.987, 0.293)
Pt (0.544, 0.013, 0.707)
Pt (0.987, 0.456, 0.793)
Rh (0.076, 0.924, 0.250)
Rh (0.421, 0.579, 0.250)
Rh (0.579, 0.421, 0.750)
Rh (0.924, 0.076, 0.750)